Computed powder X-ray diffraction pattern
Compound: Zr7P4
Radiation: λ = 1.5418 Å (Cu Kα)
Structure: a crystal structure in the Materials Project, relaxed with PBE
Lines closer than 0.1° are merged.

Structure:
```
Zr7P4
1.0
7.963 -1.815 0.000
7.963 1.815 0.000
-3.810 0.000 14.325
Zr P
14 8
Direct
0.000 0.000 0.000
0.004 0.004 0.668
0.176 0.176 0.541
0.196 0.196 0.311
0.205 0.205 0.797
0.340 0.340 0.029
0.432 0.432 0.831
0.500 0.500 0.500
0.568 0.568 0.169
0.660 0.660 0.971
0.795 0.795 0.203
0.804 0.804 0.689
0.824 0.824 0.459
0.996 0.996 0.332
0.063 0.063 0.852
0.177 0.177 0.112
0.370 0.370 0.340
0.375 0.375 0.602
0.625 0.625 0.398
0.630 0.630 0.660
0.823 0.823 0.888
0.937 0.937 0.148
```

The 10 most intense peaks (2θ from 10° to 80°), sorted by position:
- 31.7°, d 2.820, intensity 67
- 33.1°, d 2.704, intensity 100
- 34.6°, d 2.593, intensity 95
- 36.8°, d 2.444, intensity 95
- 37.5°, d 2.396, intensity 69
- 37.7°, d 2.388, intensity 51
- 37.9°, d 2.373, intensity 69
- 38.0°, d 2.365, intensity 93
- 38.3°, d 2.348, intensity 97
- 50.3°, d 1.815, intensity 75


Computed powder X-ray diffraction pattern
Compound: Ta2Cr4Si5
Radiation: λ = 1.5418 Å (Cu Kα)
Structure: a crystal structure in the Materials Project, relaxed with PBE
Lines closer than 0.1° are merged.

Structure:
```
Ta2Cr4Si5
1.0
-3.725 8.151 2.576
3.725 -8.151 2.576
3.725 8.151 -2.576
Ta Cr Si
4 8 10
Direct
0.060 0.250 0.810
0.440 0.250 0.190
0.560 0.750 0.810
0.940 0.750 0.190
0.061 0.250 0.310
0.144 0.623 0.766
0.356 0.123 0.479
0.439 0.750 0.189
0.561 0.250 0.811
0.644 0.877 0.521
0.856 0.377 0.234
0.939 0.750 0.690
0.060 0.909 0.969
0.203 0.309 0.512
0.250 0.750 0.500
0.297 0.809 0.106
0.440 0.409 0.850
0.560 0.591 0.150
0.703 0.191 0.894
0.750 0.250 0.500
0.797 0.691 0.488
0.940 0.091 0.031
```

The 10 most intense peaks (2θ from 10° to 80°), sorted by position:
- 10.9°, d 8.151, intensity 72
- 13.1°, d 6.775, intensity 26
- 20.2°, d 4.390, intensity 68
- 26.3°, d 3.388, intensity 41
- 29.9°, d 2.987, intensity 37
- 36.6°, d 2.456, intensity 27
- 39.9°, d 2.258, intensity 44
- 40.6°, d 2.222, intensity 100
- 42.7°, d 2.118, intensity 44
- 46.6°, d 1.951, intensity 29


Computed powder X-ray diffraction pattern
Compound: V5As3
Radiation: λ = 1.5418 Å (Cu Kα)
Structure: a crystal structure in the Materials Project, relaxed with PBE
Lines closer than 0.1° are merged.

Structure:
```
V5As3
1.0
9.429 0.000 0.000
0.000 7.522 0.000
0.000 0.000 6.464
V As
20 12
Direct
0.010 0.250 0.028
0.077 0.059 0.705
0.077 0.441 0.705
0.222 0.750 0.350
0.248 0.250 0.301
0.252 0.750 0.801
0.278 0.250 0.850
0.423 0.559 0.205
0.423 0.941 0.205
0.490 0.750 0.528
0.510 0.250 0.472
0.577 0.059 0.795
0.577 0.441 0.795
0.722 0.750 0.150
0.748 0.250 0.199
0.752 0.750 0.699
0.778 0.250 0.650
0.923 0.559 0.295
0.923 0.941 0.295
0.990 0.750 0.972
0.011 0.750 0.583
0.171 0.515 0.074
0.171 0.985 0.074
0.329 0.015 0.574
0.329 0.485 0.574
0.489 0.250 0.083
0.511 0.750 0.917
0.671 0.515 0.426
0.671 0.985 0.426
0.829 0.015 0.926
0.829 0.485 0.926
0.989 0.250 0.417
```

The 10 most intense peaks (2θ from 10° to 80°), sorted by position:
- 31.6°, d 2.827, intensity 46
- 37.9°, d 2.372, intensity 100
- 38.5°, d 2.338, intensity 31
- 39.9°, d 2.260, intensity 41
- 40.7°, d 2.215, intensity 41
- 41.5°, d 2.175, intensity 100
- 45.4°, d 1.997, intensity 66
- 48.0°, d 1.896, intensity 35
- 48.4°, d 1.880, intensity 45
- 52.7°, d 1.738, intensity 27


Computed powder X-ray diffraction pattern
Compound: PmTm
Radiation: λ = 1.5418 Å (Cu Kα)
Structure: a crystal structure in the Materials Project, relaxed with PBE
Lines closer than 0.1° are merged.

Structure:
```
PmTm
1.0
3.605 0.000 0.000
-1.803 3.122 0.000
0.000 0.000 5.796
Pm Tm
1 1
Direct
0.000 0.000 0.000
0.667 0.333 0.500
```

The 10 most intense peaks (2θ from 10° to 80°), sorted by position:
- 28.6°, d 3.122, intensity 24
- 30.9°, d 2.898, intensity 26
- 32.6°, d 2.749, intensity 100
- 42.6°, d 2.124, intensity 16
- 50.6°, d 1.803, intensity 19
- 56.0°, d 1.643, intensity 22
- 60.5°, d 1.531, intensity 23
- 61.5°, d 1.507, intensity 16
- 68.2°, d 1.374, intensity 4
- 78.8°, d 1.214, intensity 8


Computed powder X-ray diffraction pattern
Compound: Mn3Si
Radiation: λ = 1.5418 Å (Cu Kα)
Structure: a crystal structure in the Materials Project, relaxed with PBE
Lines closer than 0.1° are merged.

Structure:
```
Mn3Si
1.0
2.791 0.000 0.000
0.000 2.791 0.000
0.000 0.000 5.684
Mn Si
3 1
Direct
0.000 0.000 0.000
0.500 0.500 0.253
0.500 0.500 0.747
0.000 0.000 0.500
```

The 10 most intense peaks (2θ from 10° to 80°), sorted by position:
- 15.6°, d 5.684, intensity 6
- 31.5°, d 2.842, intensity 1
- 32.1°, d 2.791, intensity 3
- 35.8°, d 2.505, intensity 5
- 45.6°, d 1.991, intensity 100
- 46.0°, d 1.974, intensity 49
- 48.8°, d 1.864, intensity 1
- 56.8°, d 1.621, intensity 1
- 65.7°, d 1.421, intensity 8
- 67.1°, d 1.396, intensity 14


Computed powder X-ray diffraction pattern
Compound: SnCl2O2
Radiation: λ = 1.5418 Å (Cu Kα)
Structure: a crystal structure in the Materials Project, relaxed with PBE
Lines closer than 0.1° are merged.

Structure:
```
SnCl2O2
1.0
9.512 0.000 0.000
0.000 7.210 0.000
-4.104 0.000 8.400
Sn Cl O
4 8 8
Direct
0.105 0.217 0.435
0.105 0.283 0.935
0.895 0.717 0.065
0.895 0.783 0.565
0.167 0.540 0.170
0.167 0.960 0.670
0.169 0.007 0.253
0.169 0.493 0.753
0.831 0.507 0.247
0.831 0.993 0.747
0.833 0.040 0.330
0.833 0.460 0.830
0.452 0.065 0.094
0.452 0.435 0.594
0.457 0.604 0.580
0.457 0.896 0.080
0.543 0.104 0.920
0.543 0.396 0.420
0.548 0.565 0.406
0.548 0.935 0.906
```

The 10 most intense peaks (2θ from 10° to 80°), sorted by position:
- 10.4°, d 8.546, intensity 100
- 16.1°, d 5.511, intensity 32
- 21.6°, d 4.105, intensity 19
- 22.7°, d 3.918, intensity 52
- 24.2°, d 3.676, intensity 36
- 24.5°, d 3.629, intensity 27
- 25.5°, d 3.497, intensity 28
- 32.7°, d 2.735, intensity 21
- 37.3°, d 2.413, intensity 28
- 38.6°, d 2.334, intensity 39


Computed powder X-ray diffraction pattern
Compound: In3Ir
Radiation: λ = 1.5418 Å (Cu Kα)
Structure: a crystal structure in the Materials Project, relaxed with PBE
Lines closer than 0.1° are merged.

Structure:
```
In3Ir
1.0
7.570 0.000 0.000
0.000 8.378 0.000
0.000 0.000 5.471
In Ir
12 4
Direct
0.020 0.250 0.095
0.171 0.056 0.637
0.171 0.444 0.637
0.329 0.556 0.137
0.329 0.944 0.137
0.480 0.750 0.595
0.520 0.250 0.405
0.671 0.056 0.863
0.671 0.444 0.863
0.829 0.556 0.363
0.829 0.944 0.363
0.980 0.750 0.905
0.127 0.750 0.440
0.373 0.250 0.940
0.627 0.750 0.060
0.873 0.250 0.560
```

The 10 most intense peaks (2θ from 10° to 80°), sorted by position:
- 20.0°, d 4.434, intensity 31
- 22.7°, d 3.919, intensity 38
- 31.9°, d 2.808, intensity 42
- 35.9°, d 2.498, intensity 57
- 36.5°, d 2.459, intensity 76
- 38.1°, d 2.363, intensity 79
- 39.3°, d 2.291, intensity 100
- 40.1°, d 2.247, intensity 57
- 41.2°, d 2.192, intensity 53
- 59.8°, d 1.546, intensity 32


Computed powder X-ray diffraction pattern
Compound: CsCO2F2
Radiation: λ = 1.5418 Å (Cu Kα)
Structure: a crystal structure in the Materials Project, relaxed with PBE
Lines closer than 0.1° are merged.

Structure:
```
CsCO2F2
1.0
9.630 0.000 0.000
0.000 5.910 0.000
0.000 0.000 7.951
Cs C O F
4 4 8 8
Direct
0.182 0.250 0.163
0.318 0.750 0.663
0.682 0.250 0.337
0.818 0.750 0.837
0.065 0.250 0.702
0.435 0.750 0.202
0.565 0.250 0.798
0.935 0.750 0.298
0.079 0.071 0.797
0.079 0.429 0.797
0.421 0.571 0.297
0.421 0.929 0.297
0.579 0.071 0.703
0.579 0.429 0.703
0.921 0.571 0.203
0.921 0.929 0.203
0.065 0.750 0.390
0.164 0.250 0.561
0.336 0.750 0.061
0.435 0.250 0.890
0.565 0.750 0.110
0.664 0.250 0.939
0.836 0.750 0.439
0.935 0.250 0.610
```

The 10 most intense peaks (2θ from 10° to 80°), sorted by position:
- 18.7°, d 4.743, intensity 36
- 20.9°, d 4.255, intensity 39
- 23.8°, d 3.733, intensity 80
- 24.2°, d 3.675, intensity 53
- 26.4°, d 3.379, intensity 72
- 28.6°, d 3.121, intensity 35
- 30.2°, d 2.955, intensity 37
- 37.5°, d 2.401, intensity 29
- 38.4°, d 2.346, intensity 51
- 39.1°, d 2.302, intensity 100